Record 1
Structure and calculated X-ray diffraction stick pattern of PmCd4Ag2 (a GGA-PBE-relaxed structure; Cu Kα).
Lines closer than 0.1° are merged.

Structure:
Lattice parameters (Å, degrees): 8.5602 8.5602 4.3973 90.00 90.00 90.00
Fractional coordinates of all 14 atoms:
Pm1 0.0000 0.0000 0.0000
Pm2 0.5000 0.5000 0.5000
Cd1 0.0948 0.3429 0.5000
Cd2 0.1571 0.5948 0.0000
Cd3 0.3429 0.0948 0.5000
Cd4 0.4052 0.8429 0.0000
Cd5 0.5948 0.1571 0.0000
Cd6 0.6571 0.9052 0.5000
Cd7 0.8429 0.4052 0.0000
Cd8 0.9052 0.6571 0.5000
Ag1 0.1955 0.8045 0.5000
Ag2 0.3045 0.3045 0.0000
Ag3 0.6955 0.6955 0.0000
Ag4 0.8045 0.1955 0.5000

Main lines, sorted by position (15 to 90 degrees two-theta):
d_spacing	Rel. int.
2.887	100
2.707	34
2.493	72
2.305	51
2.199	37
2.076	34

***

Record 2
Structure and calculated X-ray diffraction stick pattern of Ba3La4Sn4 (a GGA-PBE-relaxed structure; Cu Kα).
Lines closer than 0.1° are merged.

Structure:
Lattice parameters (Å, degrees): 10.5540 10.5540 10.5540 150.19 133.78 55.98
Fractional coordinates of all 11 atoms:
Ba1 0.0000 0.0000 0.0000
Ba2 0.3932 0.8932 0.5000
Ba3 0.6068 0.1068 0.5000
La1 0.0423 0.3291 0.7132
La2 0.3841 0.6709 0.7132
La3 0.6159 0.3291 0.2868
La4 0.9577 0.6709 0.2868
Sn1 0.2018 0.2018 0.0000
Sn2 0.3107 0.5000 0.8107
Sn3 0.6893 0.5000 0.1893
Sn4 0.7982 0.7982 0.0000

Main lines, sorted by position (15 to 90 degrees two-theta):
d_spacing	Rel. int.
3.400	21
3.246	100
3.107	14
2.910	17
2.715	31
2.468	16

***

Record 3
Structure and calculated X-ray diffraction stick pattern of LiTmTiRu (a GGA-PBE-relaxed structure; Cu Kα).
Lines closer than 0.1° are merged.

Structure:
Lattice parameters (Å, degrees): 4.6147 4.6147 4.6147 60.00 60.00 60.00
Fractional coordinates of all 4 atoms:
Li1 0.0000 0.0000 0.0000
Tm1 0.7500 0.7500 0.7500
Ti1 0.2500 0.2500 0.2500
Ru1 0.5000 0.5000 0.5000

Main lines, sorted by position (15 to 90 degrees two-theta):
d_spacing	Rel. int.
3.768	56
3.263	14
2.307	100
1.968	29
1.632	17
1.332	34

***

Record 4
Structure and calculated X-ray diffraction stick pattern of TlFeI6 (a GGA-PBE-relaxed structure; Cu Kα).
Lines closer than 0.1° are merged.

Structure:
Lattice parameters (Å, degrees): 6.4475 6.4475 8.0962 97.70 97.70 99.78
Fractional coordinates of all 8 atoms:
Tl1 0.0000 0.0000 0.0000
Fe1 0.5000 0.5000 0.5000
I1 0.1482 0.5031 0.2740
I2 0.2314 0.2314 0.6848
I3 0.4969 0.8518 0.7260
I4 0.5031 0.1482 0.2740
I5 0.7687 0.7687 0.3152
I6 0.8518 0.4969 0.7260

Main lines, sorted by position (15 to 90 degrees two-theta):
d_spacing	Rel. int.
3.344	59
3.186	72
3.089	54
2.773	100
2.642	43
2.076	57

***

Record 5
Structure and calculated X-ray diffraction stick pattern of Er4MnCd (a GGA-PBE-relaxed structure; Cu Kα).
Lines closer than 0.1° are merged.

Structure:
Lattice parameters (Å, degrees): 7.6711 7.6711 5.9663 99.62 99.62 111.33
Fractional coordinates of all 12 atoms:
Er1 0.0633 0.7282 0.9533
Er2 0.1995 0.3614 0.6144
Er3 0.2718 0.9367 0.5467
Er4 0.3614 0.1995 0.1144
Er5 0.6386 0.8005 0.8856
Er6 0.7282 0.0633 0.4533
Er7 0.8005 0.6386 0.3856
Er8 0.9367 0.2718 0.0467
Mn1 0.0011 0.9989 0.7500
Mn2 0.9989 0.0011 0.2500
Cd1 0.3749 0.6251 0.2500
Cd2 0.6251 0.3749 0.7500

Main lines, sorted by position (15 to 90 degrees two-theta):
d_spacing	Rel. int.
2.900	62
2.764	91
2.678	100
2.434	45
2.304	30
1.611	29

***

Record 6
Structure and calculated X-ray diffraction stick pattern of Tb2Nd5Sb5 (a GGA-PBE-relaxed structure; Cu Kα).
Lines closer than 0.1° are merged.

Structure:
Lattice parameters (Å, degrees): 7.6525 7.6525 12.8915 108.96 108.96 33.85
Fractional coordinates of all 12 atoms:
Tb1 0.0438 0.0438 0.2882
Tb2 0.9562 0.9562 0.7118
Nd1 0.2724 0.2724 0.1536
Nd2 0.3395 0.3395 0.4604
Nd3 0.5000 0.5000 0.0000
Nd4 0.6605 0.6605 0.5396
Nd5 0.7276 0.7276 0.8464
Sb1 0.0000 0.0000 0.5000
Sb2 0.1173 0.1173 0.9259
Sb3 0.3116 0.3116 0.7104
Sb4 0.6884 0.6884 0.2896
Sb5 0.8827 0.8827 0.0741

Main lines, sorted by position (15 to 90 degrees two-theta):
d_spacing	Rel. int.
3.289	61
3.197	54
3.152	84
3.061	67
2.858	57
2.229	100

***

Record 7
Structure and calculated X-ray diffraction stick pattern of PmPr8Sm3 (a GGA-PBE-relaxed structure; Cu Kα).
Lines closer than 0.1° are merged.

Structure:
Lattice parameters (Å, degrees): 8.5979 8.5979 8.5979 117.69 117.69 94.05
Fractional coordinates of all 12 atoms:
Pm1 0.0000 0.0000 0.0000
Pr1 0.1266 0.1266 0.7526
Pr2 0.2493 0.7486 0.0000
Pr3 0.2514 0.2514 0.5007
Pr4 0.3740 0.3740 0.2474
Pr5 0.6260 0.8734 0.0000
Pr6 0.7486 0.2493 0.0000
Pr7 0.7507 0.7507 0.4993
Pr8 0.8734 0.6260 0.0000
Sm1 0.2500 0.7500 0.5000
Sm2 0.5000 0.5000 0.0000
Sm3 0.7500 0.2500 0.5000

Main lines, sorted by position (15 to 90 degrees two-theta):
d_spacing	Rel. int.
3.768	59
3.543	53
3.145	79
2.930	73
2.536	100
2.144	54